(1)
Simulated X-ray diffraction stick pattern
Compound: SrIr2Rh
Radiation: CuKα
Structure: a cell relaxed with PBE
No peak broadening, texture or thermal motion is included.

Most intense lines, 10° ≤ 2θ ≤ 80°, by angle:
2theta, d (Å), I/Imax
15.0, 5.907, 100.0
30.3, 2.954, 23.6
36.6, 2.453, 77.6
38.3, 2.350, 49.5
38.5, 2.341, 55.7
41.0, 2.201, 50.9
44.1, 2.055, 36.6
44.5, 2.036, 33.4

Structure:
```
4
Lattice="2.8515 0.0000 0.0000 0.0000 4.4017 0.0000 -1.3527 0.0000 5.9074" Properties=species:S:1:pos:R:3 pbc="T T T"
Sr 0.0000 0.0000 0.0000
Ir 0.0799 0.0000 2.9265
Ir 1.4972 2.2009 2.2007
Rh 0.0744 2.2009 4.4301
```

***

(2)
Simulated X-ray diffraction stick pattern
Compound: Ta4Ir5Rh4
Radiation: CuKα
Structure: a cell relaxed with PBE
No peak broadening, texture or thermal motion is included.

Most intense lines, 10° ≤ 2θ ≤ 80°, by angle:
2theta, d (Å), I/Imax
12.4, 7.126, 9.5
30.1, 2.973, 3.9
39.5, 2.283, 100.0
40.0, 2.254, 3.4
43.5, 2.079, 5.9
45.9, 1.977, 48.2
66.9, 1.398, 29.2
77.9, 1.227, 2.4

Structure:
```
13
Lattice="-5.0390 5.0390 1.9782 5.0390 -5.0390 1.9782 5.0390 5.0390 -1.9782" Properties=species:S:1:pos:R:3 pbc="T T T"
Ta 7.7163 1.3476 0.0000
Ta 1.3476 2.3618 0.0000
Ta 3.6915 2.6773 1.9782
Ta -2.6773 3.6915 1.9782
Ir 0.0000 0.0000 0.0000
Ir 5.5387 3.1198 0.0000
Ir 3.1198 4.5394 0.0000
Ir 1.9192 0.4997 1.9782
Ir -0.4997 1.9192 1.9782
Rh 3.8631 0.8728 0.0000
Rh 4.1662 -1.1760 1.9782
Rh 0.8728 6.2150 0.0000
Rh 1.1760 4.1662 1.9782
```

***

(3)
Simulated X-ray diffraction stick pattern
Compound: Ta3Ir2Rh2
Radiation: CuKα
Structure: a cell relaxed with PBE
No peak broadening, texture or thermal motion is included.

Most intense lines, 10° ≤ 2θ ≤ 80°, by angle:
2theta, d (Å), I/Imax
38.7, 2.324, 100.0
39.4, 2.289, 99.2
40.9, 2.204, 42.3
47.5, 1.916, 29.0
47.6, 1.912, 29.4
64.6, 1.444, 34.2
69.5, 1.353, 18.7
77.9, 1.226, 26.4

Structure:
```
14
Lattice="3.8234 0.0000 0.0000 0.0000 20.4935 0.0000 0.0000 0.0000 2.8853" Properties=species:S:1:pos:R:3 pbc="T T T"
Ta 0.0000 0.0000 0.0000
Ta 0.0000 3.0480 0.0000
Ta 0.0000 17.4455 0.0000
Ta 1.9117 7.1987 0.0000
Ta 1.9117 10.2467 0.0000
Ta 1.9117 13.2948 0.0000
Ir 0.0000 8.8038 1.4427
Ir 0.0000 11.6897 1.4427
Ir 1.9117 1.4429 1.4427
Ir 1.9117 19.0506 1.4427
Rh 0.0000 6.0303 1.4427
Rh 0.0000 14.4632 1.4427
Rh 1.9117 4.2165 1.4427
Rh 1.9117 16.2770 1.4427
```

***

(4)
Simulated X-ray diffraction stick pattern
Compound: TaIr3Rh
Radiation: CuKα
Structure: a cell relaxed with PBE
No peak broadening, texture or thermal motion is included.

Most intense lines, 10° ≤ 2θ ≤ 80°, by angle:
2theta, d (Å), I/Imax
21.0, 4.227, 100.0
38.2, 2.355, 44.4
41.4, 2.183, 31.5
42.8, 2.114, 28.7
43.5, 2.079, 54.7
44.5, 2.036, 51.3
46.8, 1.939, 25.2
57.9, 1.593, 13.6

Structure:
```
5
Lattice="5.0026 0.0000 0.0000 -2.0094 4.7300 0.0000 -1.4903 -2.3688 4.3655" Properties=species:S:1:pos:R:3 pbc="T T T"
Ta 0.0000 0.0000 0.0000
Ir -0.7452 -1.1844 2.1827
Ir 1.4966 2.3650 0.0000
Ir 0.7515 1.1806 2.1827
Rh 2.5013 0.0000 0.0000
```

***

(5)
Simulated X-ray diffraction stick pattern
Compound: Ta6Ir5Rh
Radiation: CuKα
Structure: a cell relaxed with PBE
No peak broadening, texture or thermal motion is included.

Most intense lines, 10° ≤ 2θ ≤ 80°, by angle:
2theta, d (Å), I/Imax
38.9, 2.313, 100.0
44.2, 2.047, 17.5
44.5, 2.035, 17.2
47.0, 1.934, 14.8
64.6, 1.443, 11.5
66.5, 1.406, 10.6
77.8, 1.227, 13.5
78.3, 1.222, 13.4

Structure:
```
12
Lattice="-2.0345 3.8681 6.1422 2.0345 -3.8681 6.1422 2.0345 3.8681 -6.1422" Properties=species:S:1:pos:R:3 pbc="T T T"
Ta 2.0345 1.9333 -2.0492
Ta 0.0000 1.9330 0.0000
Ta 2.0345 1.9333 2.0492
Ta 0.0000 1.9348 4.0931
Ta 0.0000 5.8031 0.0000
Ta 0.0000 1.9348 8.1914
Ir 0.0000 0.0000 2.0395
Ir 2.0345 0.0000 4.0959
Ir 0.0000 0.0000 6.1422
Ir 0.0000 3.8681 2.0464
Ir 0.0000 0.0000 10.2450
Rh 2.0345 0.0000 0.0000
```

***

(6)
Simulated X-ray diffraction stick pattern
Compound: Ta4Ir6Rh
Radiation: CuKα
Structure: a cell relaxed with PBE
No peak broadening, texture or thermal motion is included.

Most intense lines, 10° ≤ 2θ ≤ 80°, by angle:
2theta, d (Å), I/Imax
23.3, 3.810, 23.4
31.8, 2.811, 87.1
40.2, 2.244, 78.3
42.7, 2.119, 89.6
43.7, 2.073, 96.8
43.9, 2.063, 100.0
60.7, 1.526, 22.5
72.5, 1.304, 24.5

Structure:
```
22
Lattice="5.4067 -7.2117 0.0000 5.4067 7.2117 0.0000 -2.0007 0.0000 5.0678" Properties=species:S:1:pos:R:3 pbc="T T T"
Ta 2.1210 5.3427 4.9611
Ta 3.0717 1.9153 2.5429
Ta 5.6914 5.3427 2.6407
Ta 4.7408 1.9153 5.0589
Ta 4.0720 -1.9153 0.0090
Ta 3.1214 -5.3427 2.4272
Ta 5.7411 -1.9153 2.5249
Ta 6.6917 -5.3427 0.1067
Ir 3.9062 6.9900 3.8009
Ir 1.2446 3.1956 3.8404
Ir 1.1884 0.2923 3.9853
Ir 2.1887 -0.2923 1.4514
Ir 2.2449 -3.1956 1.3065
Ir 4.9066 0.2469 1.2670
Ir 3.9062 -0.2469 3.8009
Ir 6.5679 3.1956 3.7613
Ir 6.6241 0.2923 3.6165
Ir 7.6244 -0.2923 1.0825
Ir 7.5682 -3.1956 1.2274
Ir 4.9066 -6.9900 1.2670
Rh 4.9066 3.2202 1.2670
Rh 3.9062 -3.2202 3.8009
```

***

(7)
Simulated X-ray diffraction stick pattern
Compound: Ta2Ir9Rh
Radiation: CuKα
Structure: a cell relaxed with PBE
No peak broadening, texture or thermal motion is included.

Most intense lines, 10° ≤ 2θ ≤ 80°, by angle:
2theta, d (Å), I/Imax
39.9, 2.261, 100.0
46.3, 1.962, 32.6
46.5, 1.952, 16.5
67.4, 1.389, 5.1
67.7, 1.384, 21.1
67.7, 1.383, 5.3

Structure:
```
12
Lattice="4.7878 0.0000 0.0000 1.6025 5.9992 0.0000 0.0230 2.5544 6.2768" Properties=species:S:1:pos:R:3 pbc="T T T"
Ta 0.7887 1.6121 0.5636
Ta 5.6246 6.9416 5.7131
Ir 1.6286 4.7029 4.2034
Ir 2.3875 5.0728 1.5452
Ir 1.6217 2.1596 5.1919
Ir 2.3835 2.5252 2.6035
Ir 3.1952 2.9996 0.0000
Ir 4.0298 6.0284 3.6733
Ir 4.7916 6.3940 1.0849
Ir 4.0257 3.4808 4.7316
Ir 4.7846 3.8508 2.0734
Rh 0.0115 1.2772 3.1384
```

***

(8)
Simulated X-ray diffraction stick pattern
Compound: TaZnIrRh
Radiation: CuKα
Structure: a cell relaxed with PBE
No peak broadening, texture or thermal motion is included.

Most intense lines, 10° ≤ 2θ ≤ 80°, by angle:
2theta, d (Å), I/Imax
25.0, 3.563, 20.6
40.1, 2.251, 100.0
43.9, 2.061, 38.5
51.2, 1.784, 6.7
51.6, 1.771, 12.0
63.9, 1.457, 12.6
70.0, 1.343, 19.1
78.1, 1.223, 28.2

Structure:
```
8
Lattice="4.1218 0.0000 0.0000 0.0000 4.1218 0.0000 0.0000 0.0000 7.0857" Properties=species:S:1:pos:R:3 pbc="T T T"
Ta 0.0000 0.0000 0.0000
Ta 2.0609 2.0609 3.5429
Zn 0.0000 0.0000 3.5429
Zn 2.0609 2.0609 0.0000
Ir 0.0000 2.0609 1.7714
Ir 2.0609 0.0000 5.3143
Rh 0.0000 2.0609 5.3143
Rh 2.0609 0.0000 1.7714
```

***

(9)
Simulated X-ray diffraction stick pattern
Compound: Tb8IrRh2
Radiation: CuKα
Structure: a cell relaxed with PBE
No peak broadening, texture or thermal motion is included.

Most intense lines, 10° ≤ 2θ ≤ 80°, by angle:
2theta, d (Å), I/Imax
30.2, 2.964, 62.7
30.9, 2.898, 100.0
32.1, 2.789, 73.3
32.4, 2.767, 99.0
33.6, 2.670, 94.8
34.4, 2.607, 62.5
36.7, 2.449, 75.4
39.1, 2.307, 80.4

Structure:
```
11
Lattice="4.1235 -6.3229 0.0000 4.1235 6.3229 0.0000 -2.1076 0.0000 5.7234" Properties=species:S:1:pos:R:3 pbc="T T T"
Tb 0.0000 0.0000 0.0000
Tb 0.0076 1.6363 3.2717
Tb 2.5378 2.6390 1.0327
Tb 0.0076 -1.6363 3.2717
Tb 3.0575 1.6436 4.4327
Tb 2.5378 -2.6390 1.0327
Tb 3.0575 -1.6436 4.4327
Tb 5.0998 0.0000 2.0664
Ir 2.1744 0.0000 2.0315
Rh 1.5359 3.9361 3.8892
Rh 1.5359 -3.9361 3.8892
```

***

(10)
Simulated X-ray diffraction stick pattern
Compound: Tb4Ir2Rh
Radiation: CuKα
Structure: a cell relaxed with PBE
No peak broadening, texture or thermal motion is included.

Most intense lines, 10° ≤ 2θ ≤ 80°, by angle:
2theta, d (Å), I/Imax
32.8, 2.732, 44.4
32.9, 2.722, 100.0
39.1, 2.306, 50.1
39.1, 2.301, 32.5
47.2, 1.926, 13.4
49.6, 1.838, 16.5
54.2, 1.691, 16.4
67.0, 1.397, 21.5

Structure:
```
14
Lattice="6.0956 -4.3039 0.0000 6.0956 4.3039 0.0000 -6.0695 0.0000 6.1031" Properties=species:S:1:pos:R:3 pbc="T T T"
Tb -0.7319 0.0000 1.5115
Tb 1.5516 1.1061 3.7922
Tb -1.5088 -1.0373 5.3549
Tb 4.5702 1.1061 2.3109
Tb 2.3055 -2.1614 1.5182
Tb 7.6306 -1.0373 0.7482
Tb 6.8537 0.0000 4.5916
Tb 3.8163 -2.1614 4.5849
Ir 3.0609 3.8110 3.0515
Ir 2.2710 0.5515 0.7813
Ir 6.0956 1.5940 0.0000
Ir 3.8508 0.5515 5.3218
Rh 0.7818 -1.6003 3.8174
Rh 5.3400 -1.6003 2.2856
```

***

(11)
Simulated X-ray diffraction stick pattern
Compound: TcIr4Rh2
Radiation: CuKα
Structure: a cell relaxed with PBE
No peak broadening, texture or thermal motion is included.

Most intense lines, 10° ≤ 2θ ≤ 80°, by angle:
2theta, d (Å), I/Imax
17.3, 5.132, 22.1
28.9, 3.086, 17.5
35.0, 2.561, 22.5
40.9, 2.208, 100.0
42.3, 2.137, 78.7
45.5, 1.992, 56.5
47.1, 1.931, 32.0
67.6, 1.387, 34.9

Structure:
```
14
Lattice="2.7155 0.0000 0.0000 0.0000 20.5282 0.0000 0.0000 0.0000 3.8615" Properties=species:S:1:pos:R:3 pbc="T T T"
Tc 0.0000 0.0000 0.0000
Tc 1.3577 10.2641 0.0000
Ir 0.0000 2.7214 0.0000
Ir 0.0000 8.9188 1.9307
Ir 0.0000 11.6094 1.9307
Ir 0.0000 17.8068 0.0000
Ir 1.3577 1.3453 1.9307
Ir 1.3577 7.5427 0.0000
Ir 1.3577 12.9856 0.0000
Ir 1.3577 19.1830 1.9307
Rh 0.0000 6.2310 1.9307
Rh 0.0000 14.2972 1.9307
Rh 1.3577 4.0331 1.9307
Rh 1.3577 16.4951 1.9307
```

***

(12)
Simulated X-ray diffraction stick pattern
Compound: TcIr8Rh3
Radiation: CuKα
Structure: a cell relaxed with PBE
No peak broadening, texture or thermal motion is included.

Most intense lines, 10° ≤ 2θ ≤ 80°, by angle:
2theta, d (Å), I/Imax
26.2, 3.405, 18.7
30.1, 2.970, 43.3
30.8, 2.908, 20.5
43.1, 2.100, 51.6
43.6, 2.078, 100.0
53.9, 1.702, 17.7
62.6, 1.485, 17.1
79.3, 1.208, 34.9

Structure:
```
12
Lattice="-2.9697 2.9697 5.8151 2.9697 -2.9697 5.8151 2.9697 2.9697 -5.8151" Properties=species:S:1:pos:R:3 pbc="T T T"
Tc 0.0000 0.0000 0.0000
Ir 1.4714 1.4714 -1.4457
Ir 1.4982 -1.4982 4.3694
Ir 1.4714 1.4714 1.4457
Ir 1.4982 -1.4982 7.2608
Ir -1.4982 1.4982 4.3694
Ir 1.4982 1.4982 4.3694
Ir -1.4982 1.4982 7.2608
Ir 1.4982 1.4982 7.2608
Rh 2.9697 0.0000 2.9076
Rh 0.0000 0.0000 5.8151
Rh 0.0000 2.9697 2.9076
```

***

(13)
Simulated X-ray diffraction stick pattern
Compound: Tc2Ir4Rh3
Radiation: CuKα
Structure: a cell relaxed with PBE
No peak broadening, texture or thermal motion is included.

Most intense lines, 10° ≤ 2θ ≤ 80°, by angle:
2theta, d (Å), I/Imax
37.7, 2.387, 16.4
37.8, 2.380, 32.4
41.2, 2.191, 51.3
43.1, 2.101, 33.7
43.2, 2.093, 100.0
43.3, 2.089, 66.4
68.1, 1.377, 23.0
76.5, 1.245, 12.3

Structure:
```
18
Lattice="4.7741 0.0000 0.0000 0.0208 7.0197 0.0000 2.3619 2.6356 7.7125" Properties=species:S:1:pos:R:3 pbc="T T T"
Tc 0.7995 2.8371 0.8605
Tc 3.1877 8.1837 5.1370
Tc 3.9691 1.4716 2.5755
Tc 6.3573 6.8182 6.8520
Ir 0.8024 4.9749 2.5610
Ir 1.6104 7.4316 1.6916
Ir 1.6072 5.2542 0.0033
Ir 3.1858 6.0576 3.4261
Ir 3.9710 3.5978 4.2864
Ir 5.5496 4.4012 7.7092
Ir 5.5464 2.2237 6.0209
Ir 6.3544 4.6805 5.1515
Rh 1.5777 2.5247 3.4235
Rh 3.1633 3.3185 6.8521
Rh 3.9715 5.7753 6.0062
Rh 3.1853 3.8800 1.7063
Rh 3.9935 6.3369 0.8604
Rh 5.5791 7.1307 4.2890
```